[1]
YHfMg14: simulated X-ray powder pattern (Cu Kα, 1.54184 Å), based on a GGA-PBE-relaxed structure.
Intensities are scaled so that the largest is 100.

The 10 most intense peaks (2θ from 10° to 90°), most intense first:
2θ/deg  I_rel
36.36  100
15.70  59
23.48  46
31.70  32
35.11  23
56.45  22
32.58  20
48.02  19
68.25  19
63.81  18

Atomic structure:
Cell: 6.520 6.520 10.223 Å, 90.00 90.00 120.00°
Positions (direct):
Y (0.000, 0.000, 0.000)
Hf (0.000, 0.000, 0.500)
Mg (0.001, 0.500, 0.500)
Mg (0.010, 0.505, 0.000)
Mg (0.166, 0.332, 0.257)
Mg (0.166, 0.332, 0.743)
Mg (0.166, 0.834, 0.257)
Mg (0.166, 0.834, 0.743)
Mg (0.495, 0.505, 0.000)
Mg (0.495, 0.990, 0.000)
Mg (0.500, 0.500, 0.500)
Mg (0.500, 0.999, 0.500)
Mg (0.667, 0.333, 0.245)
Mg (0.667, 0.333, 0.755)
Mg (0.668, 0.834, 0.257)
Mg (0.668, 0.834, 0.743)

=====

[2]
Hf6MgZr8: simulated X-ray powder pattern (Cu Kα, 1.54184 Å), based on a GGA-PBE-relaxed structure.
Intensities are scaled so that the largest is 100.

The 10 most intense peaks (2θ from 10° to 90°), most intense first:
2θ/deg  I_rel
36.41  100
32.78  40
38.01  34
33.55  19
58.51  14
31.11  13
45.82  13
29.18  13
12.24  11
58.86  11

Atomic structure:
Cell: 8.348 8.348 5.749 Å, 90.00 90.00 120.00°
Positions (direct):
Hf (0.097, 0.646, 0.176)
Hf (0.354, 0.451, 0.176)
Hf (0.451, 0.097, 0.824)
Hf (0.549, 0.903, 0.176)
Hf (0.646, 0.549, 0.824)
Hf (0.903, 0.354, 0.824)
Mg (0.000, 0.000, 0.000)
Zr (0.038, 0.758, 0.677)
Zr (0.242, 0.280, 0.677)
Zr (0.280, 0.038, 0.323)
Zr (0.333, 0.667, 0.629)
Zr (0.667, 0.333, 0.371)
Zr (0.720, 0.962, 0.677)
Zr (0.758, 0.720, 0.323)
Zr (0.962, 0.242, 0.323)

=====

[3]
Hf2Mg3Zr2: simulated X-ray powder pattern (Cu Kα, 1.54184 Å), based on a GGA-PBE-relaxed structure.
Intensities are scaled so that the largest is 100.

The 10 most intense peaks (2θ from 10° to 90°), most intense first:
2θ/deg  I_rel
34.32  100
31.69  55
42.09  46
43.46  41
39.49  37
37.08  35
36.02  34
30.87  34
29.45  26
41.38  26

Atomic structure:
Cell: 17.041 17.041 3.082 Å, 90.00 90.00 169.56°
Positions (direct):
Hf (0.208, 0.792, 0.000)
Hf (0.792, 0.208, 0.000)
Mg (0.070, 0.930, 0.000)
Mg (0.500, 0.500, 0.500)
Mg (0.930, 0.070, 0.000)
Zr (0.357, 0.643, 0.500)
Zr (0.643, 0.357, 0.500)

=====

[4]
Hf2MgZr5: simulated X-ray powder pattern (Cu Kα, 1.54184 Å), based on a GGA-PBE-relaxed structure.
Intensities are scaled so that the largest is 100.

The 10 most intense peaks (2θ from 10° to 90°), most intense first:
2θ/deg  I_rel
36.77  100
33.45  58
34.66  38
41.79  31
63.50  20
68.94  20
57.54  17
15.96  14
55.38  14
70.24  10

Atomic structure:
Cell: 3.199 10.352 11.103 Å, 90.00 90.05 90.00°
Positions (direct):
Hf (0.248, 0.250, 0.046)
Hf (0.251, 0.250, 0.547)
Hf (0.749, 0.750, 0.453)
Hf (0.752, 0.750, 0.954)
Mg (0.250, 0.750, 0.709)
Mg (0.750, 0.250, 0.291)
Zr (0.248, 0.502, 0.377)
Zr (0.248, 0.998, 0.377)
Zr (0.249, 0.750, 0.208)
Zr (0.251, 0.002, 0.879)
Zr (0.251, 0.498, 0.879)
Zr (0.749, 0.502, 0.121)
Zr (0.749, 0.998, 0.121)
Zr (0.751, 0.250, 0.792)
Zr (0.752, 0.002, 0.623)
Zr (0.752, 0.498, 0.623)

=====

[5]
Hf3Mg3Zr5: simulated X-ray powder pattern (Cu Kα, 1.54184 Å), based on a GGA-PBE-relaxed structure.
Intensities are scaled so that the largest is 100.

The 10 most intense peaks (2θ from 10° to 90°), most intense first:
2θ/deg  I_rel
10.12  100
27.00  49
47.13  46
35.59  44
40.69  41
29.87  40
37.10  37
72.14  23
55.15  23
31.61  20

Atomic structure:
Cell: 10.090 10.090 2.991 Å, 90.00 90.00 120.00°
Positions (direct):
Hf (0.000, 0.162, 0.000)
Hf (0.162, 0.000, 0.000)
Hf (0.838, 0.838, 0.000)
Mg (0.000, 0.415, 0.500)
Mg (0.415, 0.000, 0.500)
Mg (0.585, 0.585, 0.500)
Zr (0.000, 0.667, 0.000)
Zr (0.333, 0.333, 0.000)
Zr (0.333, 0.667, 0.000)
Zr (0.667, 0.000, 0.000)
Zr (0.667, 0.333, 0.000)

=====

[6]
HfMnMo: simulated X-ray powder pattern (Cu Kα, 1.54184 Å), based on a GGA-PBE-relaxed structure.
Intensities are scaled so that the largest is 100.

The 10 most intense peaks (2θ from 10° to 90°), most intense first:
2θ/deg  I_rel
40.86  100
34.86  96
40.55  65
41.39  45
34.20  39
73.60  37
41.49  33
66.14  26
65.76  24
21.15  23

Atomic structure:
Cell: 5.149 5.149 5.149 Å, 119.67 118.78 91.35°
Positions (direct):
Hf (0.377, 0.127, 0.250)
Hf (0.623, 0.873, 0.750)
Mn (0.000, 0.500, 0.500)
Mn (0.500, 0.500, 0.000)
Mo (0.000, 0.000, 0.500)
Mo (0.000, 0.500, 0.000)

=====

[7]
Hf6MnN2: simulated X-ray powder pattern (Cu Kα, 1.54184 Å), based on a GGA-PBE-relaxed structure.
Intensities are scaled so that the largest is 100.

The 10 most intense peaks (2θ from 10° to 90°), most intense first:
2θ/deg  I_rel
35.23  100
34.49  26
62.27  20
46.76  18
30.60  18
54.39  17
66.02  15
66.48  12
80.93  6
37.36  6

Atomic structure:
Cell: 6.200 6.200 6.200 Å, 56.23 56.23 56.23°
Positions (direct):
Hf (0.004, 0.318, 0.677)
Hf (0.225, 0.827, 0.436)
Hf (0.318, 0.677, 0.004)
Hf (0.436, 0.225, 0.827)
Hf (0.677, 0.004, 0.318)
Hf (0.827, 0.436, 0.225)
Mn (0.875, 0.875, 0.875)
N (0.082, 0.082, 0.082)
N (0.411, 0.411, 0.411)

=====

[8]
Na2Hf2MnSe6: simulated X-ray powder pattern (Cu Kα, 1.54184 Å), based on a GGA-PBE-relaxed structure.
Intensities are scaled so that the largest is 100.

The 10 most intense peaks (2θ from 10° to 90°), most intense first:
2θ/deg  I_rel
12.42  100
31.51  86
31.69  42
43.31  31
47.21  29
39.93  20
54.61  16
43.41  16
26.94  16
57.68  15

Atomic structure:
Cell: 6.700 6.700 7.465 Å, 98.46 98.46 120.46°
Positions (direct):
Na (0.165, 0.835, 0.000)
Na (0.835, 0.165, 0.000)
Hf (0.333, 0.667, 0.500)
Hf (0.667, 0.333, 0.500)
Mn (0.000, 0.000, 0.500)
Se (0.071, 0.410, 0.715)
Se (0.266, 0.266, 0.287)
Se (0.410, 0.071, 0.715)
Se (0.590, 0.929, 0.285)
Se (0.734, 0.734, 0.713)
Se (0.929, 0.590, 0.285)

=====

[9]
Na2HfMnTe4: simulated X-ray powder pattern (Cu Kα, 1.54184 Å), based on a GGA-PBE-relaxed structure.
Intensities are scaled so that the largest is 100.

The 10 most intense peaks (2θ from 10° to 90°), most intense first:
2θ/deg  I_rel
29.35  100
11.76  63
28.99  53
42.84  38
40.59  35
53.27  19
43.67  18
37.37  18
40.25  17
51.23  12

Atomic structure:
Cell: 7.359 4.146 7.909 Å, 90.00 107.98 90.00°
Positions (direct):
Na (0.000, 0.000, 0.000)
Na (0.500, 0.500, 0.000)
Hf (0.000, 0.500, 0.500)
Mn (0.500, 0.000, 0.500)
Te (0.235, 0.000, 0.721)
Te (0.265, 0.500, 0.291)
Te (0.735, 0.500, 0.709)
Te (0.765, 0.000, 0.279)

=====

[10]
HfMnNi6: simulated X-ray powder pattern (Cu Kα, 1.54184 Å), based on a GGA-PBE-relaxed structure.
Intensities are scaled so that the largest is 100.

The 10 most intense peaks (2θ from 10° to 90°), most intense first:
2θ/deg  I_rel
42.90  100
49.85  32
88.73  22
73.42  18
50.16  15
89.21  11
73.17  9
24.33  6
14.89  5
34.78  5

Atomic structure:
Cell: 6.325 6.325 10.346 Å, 90.00 90.00 109.80°
Positions (direct):
Hf (0.000, 0.000, 0.247)
Hf (0.000, 0.000, 0.753)
Hf (0.247, 0.753, 0.500)
Hf (0.753, 0.247, 0.500)
Mn (0.244, 0.756, 0.000)
Mn (0.500, 0.500, 0.245)
Mn (0.500, 0.500, 0.755)
Mn (0.756, 0.244, 0.000)
Ni (0.000, 0.000, 0.000)
Ni (0.000, 0.000, 0.500)
Ni (0.130, 0.384, 0.121)
Ni (0.130, 0.384, 0.879)
Ni (0.133, 0.379, 0.371)
Ni (0.133, 0.379, 0.629)
Ni (0.253, 0.747, 0.244)
Ni (0.253, 0.747, 0.756)
Ni (0.379, 0.133, 0.371)
Ni (0.379, 0.133, 0.629)
Ni (0.384, 0.130, 0.121)
Ni (0.384, 0.130, 0.879)
Ni (0.500, 0.500, 0.000)
Ni (0.500, 0.500, 0.500)
Ni (0.616, 0.870, 0.121)
Ni (0.616, 0.870, 0.879)
Ni (0.621, 0.867, 0.371)
Ni (0.621, 0.867, 0.629)
Ni (0.747, 0.253, 0.244)
Ni (0.747, 0.253, 0.756)
Ni (0.867, 0.621, 0.371)
Ni (0.867, 0.621, 0.629)
Ni (0.870, 0.616, 0.121)
Ni (0.870, 0.616, 0.879)

=====

Copy entry 3 word for word.
Hf2Mg3Zr2: simulated X-ray powder pattern (Cu Kα, 1.54184 Å), based on a GGA-PBE-relaxed structure.
Intensities are scaled so that the largest is 100.

The 10 most intense peaks (2θ from 10° to 90°), most intense first:
2θ/deg  I_rel
34.32  100
31.69  55
42.09  46
43.46  41
39.49  37
37.08  35
36.02  34
30.87  34
29.45  26
41.38  26

Atomic structure:
Cell: 17.041 17.041 3.082 Å, 90.00 90.00 169.56°
Positions (direct):
Hf (0.208, 0.792, 0.000)
Hf (0.792, 0.208, 0.000)
Mg (0.070, 0.930, 0.000)
Mg (0.500, 0.500, 0.500)
Mg (0.930, 0.070, 0.000)
Zr (0.357, 0.643, 0.500)
Zr (0.643, 0.357, 0.500)